# YThGe
Theoretical PXRD pattern, Cu Kα X-rays. Input: a crystal structure in Alexandria, relaxed with PBE.

Main lines, low angle first (10° ≤ 2θ ≤ 80°):
2θ = 25.6°, intensity 29
2θ = 27.7°, intensity 49
2θ = 27.9°, intensity 18
2θ = 30.0°, intensity 100
2θ = 34.5°, intensity 33
2θ = 41.7°, intensity 16
2θ = 44.3°, intensity 45
2θ = 47.8°, intensity 27
2θ = 53.2°, intensity 19
2θ = 54.4°, intensity 19
2θ = 72.7°, intensity 16
2θ = 75.5°, intensity 16

Unit cell a=12.9985 b=12.9985 c=12.9985 alpha=18.11 beta=18.11 gamma=18.11
Fractional coordinates of all 6 atoms:
Y: 0.1269 0.1269 0.1269
Y: 0.8731 0.8731 0.8731
Th: 0.2950 0.2950 0.2950
Th: 0.7050 0.7050 0.7050
Ge: 0.4175 0.4175 0.4175
Ge: 0.5825 0.5825 0.5825